Diffraction record for TbNd2Th3. The X-ray diffraction stick pattern is theoretical, not measured: it uses the PBE geometry in Alexandria and a wavelength of 1.5418 Å.

Crystal structure
Cell lengths 10.3184, 11.4503, 6.7957 Å; angles 90.00, 90.00, 90.00 degrees
Space group Cmcm (No. 63)
Asymmetric unit:
Tb1 0.0000 0.2292 0.2500 [4 per cell]
Nd1 0.1671 0.2697 0.7500 [8 per cell]
Th1 0.0000 0.5000 0.0000 [4 per cell]
Th2 0.1659 0.0000 0.0000 [8 per cell]

Largest 8 diffraction maxima, by intensity, 2θ from 10° to 90°:
- 2θ = 30.60°, I = 1000, (0 2 2)
- 2θ = 38.05°, I = 488, (3 1 2)
- 2θ = 31.25°, I = 438, (0 4 0)
- 2θ = 55.24°, I = 438, (0 6 2)
- 2θ = 27.07°, I = 419, (3 1 0)
- 2θ = 35.12°, I = 400, (3 3 0)
- 2θ = 30.15°, I = 338, (3 1 1)
- 2θ = 62.69°, I = 266, (6 2 2)

---

Diffraction record for Tb3NdTmTh. The X-ray diffraction stick pattern is theoretical, not measured: it uses the PBE geometry in Alexandria and a wavelength of 1.5418 Å.

Crystal structure
Cell lengths 7.9850, 5.0645, 10.1213 Å; angles 90.00, 108.75, 90.00 degrees
Space group P2_1/m (No. 11)
Asymmetric unit:
Tb1 0.1708 0.2500 0.0437 [2 per cell]
Tb2 0.1758 0.2500 0.5436 [2 per cell]
Tb3 0.1770 0.7500 0.2931 [2 per cell]
Nd1 0.1687 0.7500 0.7926 [2 per cell]
Tm1 0.4995 0.7500 0.1276 [2 per cell]
Th1 0.4985 0.2500 0.3781 [2 per cell]

Largest 8 diffraction maxima, by intensity, 2θ from 10° to 90°:
- 2θ = 30.58°, I = 1000, (2 1 -2)
- 2θ = 30.68°, I = 993, (1 1 2)
- 2θ = 35.46°, I = 678, (0 2 0)
- 2θ = 60.66°, I = 433, (1 3 2)
- 2θ = 51.02°, I = 363, (1 2 -4)
- 2θ = 35.62°, I = 332, (3 0 0)
- 2θ = 60.81°, I = 284, (0 1 6)
- 2θ = 51.13°, I = 239, (3 2 0)

---

Diffraction record for TbNd2Tm4Th. The X-ray diffraction stick pattern is theoretical, not measured: it uses the PBE geometry in Alexandria and a wavelength of 1.5418 Å.

Crystal structure
Cell lengths 5.0749, 5.0749, 9.8813 Å; angles 90.00, 90.00, 90.00 degrees
Space group P4/mmm (No. 123)
Asymmetric unit:
Tb1 0.0000 0.0000 0.0000 [1 per cell]
Nd1 0.0000 0.0000 0.5000 [1 per cell]
Nd2 0.5000 0.5000 0.0000 [1 per cell]
Tm1 0.0000 0.5000 0.2531 [4 per cell]
Th1 0.5000 0.5000 0.5000 [1 per cell]

Largest 8 diffraction maxima, by intensity, 2θ from 10° to 90°:
- 2θ = 30.80°, I = 1000, (1 1 2)
- 2θ = 35.37°, I = 347, (2 0 0)
- 2θ = 60.67°, I = 294, (3 1 2)
- 2θ = 51.64°, I = 238, (2 0 4)
- 2θ = 36.37°, I = 160, (0 0 4)
- 2θ = 62.00°, I = 137, (1 1 6)
- 2θ = 50.89°, I = 125, (2 2 0)
- 2θ = 64.15°, I = 124, (2 2 4)

---

Diffraction record for Tb2Nd5TmTh. The X-ray diffraction stick pattern is theoretical, not measured: it uses the PBE geometry in Alexandria and a wavelength of 1.5418 Å.

Crystal structure
Cell lengths 5.4199, 21.7523, 10.5979 Å; angles 90.00, 90.00, 90.00 degrees
Space group Cmcm (No. 63)
Asymmetric unit:
Tb1 0.0000 0.1127 0.0029 [8 per cell]
Nd1 0.0000 0.0014 0.7500 [4 per cell]
Nd2 0.0000 0.2778 0.5574 [8 per cell]
Nd3 0.0000 0.3737 0.2500 [4 per cell]
Nd4 0.0000 0.5000 0.0000 [4 per cell]
Tm1 0.0000 0.3978 0.7500 [4 per cell]
Th1 0.0000 0.2116 0.2500 [4 per cell]

Largest 8 diffraction maxima, by intensity, 2θ from 10° to 90°:
- 2θ = 31.31°, I = 1000, (1 5 2)
- 2θ = 33.06°, I = 297, (2 0 0)
- 2θ = 48.00°, I = 191, (2 0 4)
- 2θ = 33.83°, I = 189, (0 0 4)
- 2θ = 57.95°, I = 176, (3 5 2)
- 2θ = 30.48°, I = 151, (1 1 3)
- 2θ = 26.54°, I = 135, (1 3 2)
- 2θ = 32.68°, I = 129, (1 3 3)

---

Diffraction record for TbNdY3Th. The X-ray diffraction stick pattern is theoretical, not measured: it uses the PBE geometry in Alexandria and a wavelength of 1.5418 Å.

Crystal structure
Cell lengths 8.0209, 5.0865, 10.1636 Å; angles 90.00, 108.31, 90.00 degrees
Space group P2_1/m (No. 11)
Asymmetric unit:
Tb1 0.0007 0.2500 0.1286 [2 per cell]
Nd1 0.3247 0.7500 0.7062 [2 per cell]
Y1 0.3246 0.2500 0.4564 [2 per cell]
Y2 0.3288 0.7500 0.2081 [2 per cell]
Y3 0.3300 0.2500 0.9565 [2 per cell]
Th1 0.0011 0.2500 0.6229 [2 per cell]

Largest 8 diffraction maxima, by intensity, 2θ from 10° to 90°:
- 2θ = 30.47°, I = 1000, (1 1 2)
- 2θ = 35.33°, I = 505, (0 2 0)
- 2θ = 60.37°, I = 213, (1 3 2)
- 2θ = 50.79°, I = 179, (1 2 -4)
- 2θ = 60.44°, I = 140, (3 1 -6)
- 2θ = 50.82°, I = 119, (3 2 0)
- 2θ = 11.62°, I = 119, (1 0 0)
- 2θ = 82.74°, I = 115, (0 3 6)

---

Diffraction record for TbNd2Y5Th. The X-ray diffraction stick pattern is theoretical, not measured: it uses the PBE geometry in Alexandria and a wavelength of 1.5418 Å.

Crystal structure
Cell lengths 8.7567, 8.7567, 15.5124 Å; angles 90.00, 90.00, 90.00 degrees
Space group I4/mcm (No. 140)
Asymmetric unit:
Tb1 0.0000 0.5000 0.2500 [4 per cell]
Nd1 0.1161 0.3839 0.0000 [8 per cell]
Y1 0.0000 0.0000 0.0000 [4 per cell]
Y2 0.2124 0.2876 0.3608 [16 per cell]
Th1 0.0000 0.0000 0.2500 [4 per cell]

Largest 8 diffraction maxima, by intensity, 2θ from 10° to 90°:
- 2θ = 30.80°, I = 1000, (2 0 4)
- 2θ = 28.84°, I = 531, (2 2 0)
- 2θ = 28.59°, I = 410, (2 1 3)
- 2θ = 42.94°, I = 294, (4 0 2)
- 2θ = 52.34°, I = 263, (4 2 4)
- 2θ = 37.48°, I = 179, (3 2 1)
- 2θ = 31.10°, I = 169, (2 2 2)
- 2θ = 23.36°, I = 164, (2 0 2)

---

Diffraction record for Tb2Nd2Y6Th. The X-ray diffraction stick pattern is theoretical, not measured: it uses the PBE geometry in Alexandria and a wavelength of 1.5418 Å.

Crystal structure
Cell lengths 5.7199, 12.0733, 10.6759 Å; angles 90.00, 90.00, 90.00 degrees
Space group Cmmm (No. 65)
Asymmetric unit:
Tb1 0.0000 0.2022 0.0000 [4 per cell]
Nd1 0.0000 0.1354 0.5000 [4 per cell]
Y1 0.0000 0.0000 0.2084 [4 per cell]
Y2 0.0000 0.3486 0.2873 [8 per cell]
Th1 0.0000 0.5000 0.0000 [2 per cell]

Largest 8 diffraction maxima, by intensity, 2θ from 10° to 90°:
- 2θ = 31.94°, I = 1000, (1 3 2)
- 2θ = 31.28°, I = 359, (2 0 0)
- 2θ = 30.50°, I = 279, (1 1 3)
- 2θ = 30.78°, I = 211, (0 4 1)
- 2θ = 33.58°, I = 202, (0 0 4)
- 2θ = 56.09°, I = 200, (3 3 2)
- 2θ = 46.54°, I = 162, (2 0 4)
- 2θ = 44.46°, I = 154, (2 4 1)

---

Diffraction record for Tb3Nd2Y6Th. The X-ray diffraction stick pattern is theoretical, not measured: it uses the PBE geometry in Alexandria and a wavelength of 1.5418 Å.

Crystal structure
Cell lengths 6.2321, 10.7853, 11.8408 Å; angles 90.00, 100.09, 90.00 degrees
Space group C2/m (No. 12)
Asymmetric unit:
Tb1 0.0000 0.0000 0.0000 [2 per cell]
Tb2 0.0000 0.3329 0.0000 [4 per cell]
Nd1 0.0000 0.1666 0.5000 [4 per cell]
Y1 0.2453 0.5000 0.2494 [4 per cell]
Y2 0.2490 0.3352 0.7506 [8 per cell]
Th1 0.0000 0.5000 0.5000 [2 per cell]

Largest 8 diffraction maxima, by intensity, 2θ from 10° to 90°:
- 2θ = 30.47°, I = 1000, (1 3 1)
- 2θ = 35.38°, I = 668, (2 0 2)
- 2θ = 30.68°, I = 327, (0 0 4)
- 2θ = 50.77°, I = 238, (0 6 0)
- 2θ = 51.05°, I = 234, (1 3 5)
- 2θ = 60.43°, I = 187, (3 3 3)
- 2θ = 60.50°, I = 186, (0 6 4)
- 2θ = 60.74°, I = 139, (2 0 6)

---

Diffraction record for TbNd4Tl5. The X-ray diffraction stick pattern is theoretical, not measured: it uses the PBE geometry in Alexandria and a wavelength of 1.5418 Å.

Crystal structure
Cell lengths 3.8491, 3.8491, 19.8032 Å; angles 90.00, 90.00, 90.00 degrees
Space group P4/mmm (No. 123)
Asymmetric unit:
Tb1 0.0000 0.0000 0.0000 [1 per cell]
Nd1 0.0000 0.0000 0.1955 [2 per cell]
Nd2 0.0000 0.0000 0.3987 [2 per cell]
Tl1 0.5000 0.5000 0.0936 [2 per cell]
Tl2 0.5000 0.5000 0.2969 [2 per cell]
Tl3 0.5000 0.5000 0.5000 [1 per cell]

Largest 8 diffraction maxima, by intensity, 2θ from 10° to 90°:
- 2θ = 32.44°, I = 1000, (1 0 5)
- 2θ = 32.91°, I = 489, (1 1 0)
- 2θ = 58.46°, I = 378, (2 1 5)
- 2θ = 57.56°, I = 189, (1 1 10)
- 2θ = 47.23°, I = 180, (2 0 0)
- 2θ = 67.91°, I = 115, (2 0 10)
- 2θ = 45.82°, I = 93, (0 0 10)
- 2θ = 78.60°, I = 82, (3 1 0)

---

Diffraction record for Tb5Nd3Tl2. The X-ray diffraction stick pattern is theoretical, not measured: it uses the PBE geometry in Alexandria and a wavelength of 1.5418 Å.

Crystal structure
Cell lengths 13.0391, 15.4889, 6.5353 Å; angles 90.00, 90.00, 90.00 degrees
Space group Ibam (No. 72)
Asymmetric unit:
Tb1 0.0000 0.0000 0.2500 [4 per cell]
Tb2 0.1183 0.1635 0.0000 [8 per cell]
Tb3 0.2461 0.0000 0.2500 [8 per cell]
Nd1 0.0000 0.5000 0.2500 [4 per cell]
Nd2 0.1201 0.2606 0.5000 [8 per cell]
Tl1 0.1355 0.3543 0.0000 [8 per cell]

Largest 8 diffraction maxima, by intensity, 2θ from 10° to 90°:
- 2θ = 29.70°, I = 1000, (0 2 2)
- 2θ = 39.03°, I = 477, (4 0 2)
- 2θ = 34.88°, I = 448, (2 5 1)
- 2θ = 35.99°, I = 334, (0 4 2)
- 2θ = 53.27°, I = 265, (2 5 3)
- 2θ = 25.89°, I = 220, (2 3 1)
- 2θ = 20.07°, I = 167, (2 1 1)
- 2θ = 66.86°, I = 161, (0 10 2)

---

Diffraction record for Tb3Nd8Tl. The X-ray diffraction stick pattern is theoretical, not measured: it uses the PBE geometry in Alexandria and a wavelength of 1.5418 Å.

Crystal structure
Cell lengths 8.7435, 8.7435, 11.6341 Å; angles 90.00, 90.00, 90.00 degrees
Space group I-42m (No. 121)
Asymmetric unit:
Tb1 0.0000 0.0000 0.0000 [2 per cell]
Tb2 0.0000 0.5000 0.2500 [4 per cell]
Nd1 0.1280 0.1280 0.7541 [8 per cell]
Nd2 0.2449 0.2449 0.0202 [8 per cell]
Tl1 0.0000 0.0000 0.5000 [2 per cell]

Largest 8 diffraction maxima, by intensity, 2θ from 10° to 90°:
- 2θ = 35.96°, I = 1000, (3 1 2)
- 2θ = 28.88°, I = 721, (2 2 0)
- 2θ = 30.74°, I = 605, (0 0 4)
- 2θ = 24.01°, I = 510, (2 1 1)
- 2θ = 42.68°, I = 447, (2 2 4)
- 2θ = 44.27°, I = 399, (4 0 2)
- 2θ = 20.97°, I = 347, (1 1 2)
- 2θ = 25.49°, I = 314, (2 0 2)

---

Diffraction record for TbNd3Tl3. The X-ray diffraction stick pattern is theoretical, not measured: it uses the PBE geometry in Alexandria and a wavelength of 1.5418 Å.

Crystal structure
Cell lengths 9.5664, 9.5664, 9.5664 Å; angles 90.00, 90.00, 90.00 degrees
Space group P2_13 (No. 198)
Asymmetric unit:
Tb1 0.0736 0.4264 0.5736 [4 per cell]
Nd1 0.0704 0.5704 0.9296 [4 per cell]
Nd2 0.1739 0.1739 0.1739 [4 per cell]
Nd3 0.1760 0.8240 0.3240 [4 per cell]
Tl1 0.0013 0.7463 0.6308 [12 per cell]

Largest 8 diffraction maxima, by intensity, 2θ from 10° to 90°:
- 2θ = 29.53°, I = 1000, (3 0 1)
- 2θ = 35.10°, I = 677, (3 1 2)
- 2θ = 59.57°, I = 301, (6 1 1)
- 2θ = 42.25°, I = 188, (4 2 0)
- 2θ = 48.52°, I = 187, (4 3 1)
- 2θ = 72.62°, I = 186, (7 2 1)
- 2θ = 62.97°, I = 151, (5 4 1)
- 2θ = 46.51°, I = 136, (4 2 2)